Diffraction record for MnSiTcO6. The X-ray powder pattern is theoretical, not measured: it uses a structure optimized by DFT (GGA+U) and CuKα.

Largest 10 diffraction maxima, in order of rising 2θ, 10 to 90 degrees two-theta:
2θ (°)	I/Imax	hkl
19.25	26.4	0 0 2
22.94	34.4	1 0 1
28.48	100.0	1 0 2
35.99	15.1	1 0 3
36.42	32.0	1 1 0
41.51	23.1	1 1 2
46.86	21.4	2 0 2
54.47	50.2	1 1 4
60.76	20.7	2 1 2
65.53	17.6	3 0 0

abc: 4.9345 4.9345 9.2230
angles: 90.00 90.00 120.00
Space group P-31c (No. 163)
Unique sites:
Mn (0.0000, 0.0000, 0.0000) [2 per cell]
Si (0.3333, 0.6667, 0.2500) [2 per cell]
Tc (0.3333, 0.6667, 0.7500) [2 per cell]
O (0.0215, 0.3756, 0.1408) [12 per cell]